Record 1
Calculated XRD peak list
Compound: HfTa2Te2Se4
Radiation: Cu Kα X-rays
Structure: a PBE-relaxed structure
Neutral-atom scattering factors, no anomalous dispersion.

The 6 most intense peaks (2θ from 15° to 90°), sorted by position:
2θ (°)  I (rel.)
28.9  51.4
31.4  28.0
33.2  26.9
35.4  100.0
44.0  49.1
51.2  41.3

abc: 3.568 3.568 22.109
angles: 90.00 90.00 120.00
Fractional coordinates of all 9 atoms:
Hf 0.000 0.000 0.000
Ta 0.000 0.000 0.643
Ta 0.667 0.333 0.329
Te 0.667 0.333 0.090
Te 0.667 0.333 0.910
Se 0.000 0.000 0.254
Se 0.000 0.000 0.403
Se 0.667 0.333 0.569
Se 0.667 0.333 0.718

=====

Record 2
Calculated XRD peak list
Compound: AgPd6Pb2
Radiation: Cu Kα X-rays
Structure: a PBE-relaxed structure
Neutral-atom scattering factors, no anomalous dispersion.

The 6 most intense peaks (2θ from 15° to 90°), sorted by position:
2θ (°)  I (rel.)
22.1  21.5
31.5  62.4
38.2  45.0
39.9  69.7
42.3  100.0
50.2  16.9

abc: 8.201 8.201 3.058
angles: 100.64 100.64 56.22
Fractional coordinates of all 9 atoms:
Ag 0.000 0.000 0.000
Pd 0.025 0.644 0.835
Pd 0.304 0.696 0.500
Pd 0.356 0.975 0.165
Pd 0.644 0.025 0.835
Pd 0.696 0.304 0.500
Pd 0.975 0.356 0.165
Pb 0.334 0.334 0.335
Pb 0.666 0.666 0.665

=====

Record 3
Calculated XRD peak list
Compound: LiPu2Pb3
Radiation: Cu Kα X-rays
Structure: a PBE-relaxed structure
Neutral-atom scattering factors, no anomalous dispersion.

The 6 most intense peaks (2θ from 15° to 90°), sorted by position:
2θ (°)  I (rel.)
29.0  28.9
33.2  100.0
35.9  60.6
51.7  35.3
62.8  33.4
65.4  15.0

abc: 3.538 3.538 12.483
angles: 90.00 90.00 90.00
Fractional coordinates of all 6 atoms:
Li 0.000 0.000 0.000
Pu 0.000 0.000 0.318
Pu 0.000 0.000 0.682
Pb 0.500 0.500 0.136
Pb 0.500 0.500 0.500
Pb 0.500 0.500 0.864

=====

Record 4
Calculated XRD peak list
Compound: ZnGa10Pb2
Radiation: Cu Kα X-rays
Structure: a PBE-relaxed structure
Neutral-atom scattering factors, no anomalous dispersion.

The 6 most intense peaks (2θ from 15° to 90°), sorted by position:
2θ (°)  I (rel.)
33.1  74.0
34.4  74.3
34.7  64.0
35.4  31.2
37.3  100.0
38.8  28.0

abc: 5.820 6.437 14.854
angles: 90.00 101.55 90.00
Fractional coordinates of all 26 atoms:
Zn 0.000 0.000 0.000
Zn 0.000 0.500 0.500
Ga 0.074 0.220 0.836
Ga 0.074 0.280 0.336
Ga 0.196 0.130 0.521
Ga 0.196 0.370 0.021
Ga 0.272 0.079 0.187
Ga 0.272 0.421 0.687
Ga 0.290 0.001 0.704
Ga 0.290 0.499 0.204
Ga 0.443 0.723 0.582
Ga 0.443 0.777 0.082
Ga 0.557 0.223 0.918
Ga 0.557 0.277 0.418
Ga 0.710 0.501 0.796
Ga 0.710 0.999 0.296
Ga 0.728 0.579 0.313
Ga 0.728 0.921 0.813
Ga 0.804 0.630 0.979
Ga 0.804 0.870 0.479
Ga 0.926 0.720 0.664
Ga 0.926 0.780 0.164
Pb 0.263 0.711 0.874
Pb 0.263 0.789 0.374
Pb 0.737 0.211 0.626
Pb 0.737 0.289 0.126

=====

Record 5
Calculated XRD peak list
Compound: RbBPd
Radiation: Cu Kα X-rays
Structure: a PBE-relaxed structure
Neutral-atom scattering factors, no anomalous dispersion.

The 6 most intense peaks (2θ from 15° to 90°), sorted by position:
2θ (°)  I (rel.)
27.2  70.1
30.1  83.8
34.7  42.3
35.0  100.0
42.0  51.7
47.6  32.2

abc: 4.442 4.442 6.170
angles: 102.27 102.27 79.68
Fractional coordinates of all 6 atoms:
Rb 0.250 0.750 0.000
Rb 0.750 0.250 0.000
B 0.286 0.976 0.511
B 0.976 0.286 0.511
Pd 0.426 0.426 0.491
Pd 0.825 0.825 0.490

=====

Record 6
Calculated XRD peak list
Compound: Lu4C7
Radiation: Cu Kα X-rays
Structure: a PBE-relaxed structure
Neutral-atom scattering factors, no anomalous dispersion.

The 6 most intense peaks (2θ from 15° to 90°), sorted by position:
2θ (°)  I (rel.)
29.2  28.9
29.5  27.1
30.2  100.0
32.8  32.7
34.4  33.1
35.6  39.8

abc: 3.604 13.540 6.289
angles: 90.00 105.35 90.00
Fractional coordinates of all 22 atoms:
Lu 0.059 0.160 0.161
Lu 0.059 0.340 0.661
Lu 0.366 0.054 0.740
Lu 0.366 0.446 0.240
Lu 0.634 0.554 0.760
Lu 0.634 0.946 0.260
Lu 0.941 0.660 0.339
Lu 0.941 0.840 0.839
C 0.000 0.000 0.000
C 0.000 0.500 0.500
C 0.268 0.604 0.050
C 0.268 0.896 0.550
C 0.376 0.698 0.044
C 0.376 0.802 0.544
C 0.464 0.214 0.924
C 0.464 0.286 0.424
C 0.536 0.714 0.576
C 0.536 0.786 0.076
C 0.624 0.198 0.456
C 0.624 0.302 0.956
C 0.732 0.104 0.450
C 0.732 0.396 0.950

=====

Record 7
Calculated XRD peak list
Compound: NdDyCoPt
Radiation: Cu Kα X-rays
Structure: a PBE-relaxed structure
Neutral-atom scattering factors, no anomalous dispersion.

The 6 most intense peaks (2θ from 15° to 90°), sorted by position:
2θ (°)  I (rel.)
22.1  12.5
36.4  100.0
52.4  17.6
65.5  35.8
77.4  11.1
88.6  16.3

abc: 4.935 4.935 4.935
angles: 60.00 60.00 60.00
Fractional coordinates of all 4 atoms:
Nd 0.000 0.000 0.000
Dy 0.500 0.500 0.500
Co 0.750 0.750 0.750
Pt 0.250 0.250 0.250

=====

Record 8
Calculated XRD peak list
Compound: TlCl
Radiation: Cu Kα X-rays
Structure: a PBE-relaxed structure
Neutral-atom scattering factors, no anomalous dispersion.

The 6 most intense peaks (2θ from 15° to 90°), sorted by position:
2θ (°)  I (rel.)
20.7  38.5
21.1  100.0
24.7  100.0
31.3  41.9
39.2  36.5
41.6  37.9

abc: 13.330 13.330 4.522
angles: 90.00 90.00 90.00
Fractional coordinates of all 16 atoms:
Tl 0.097 0.269 0.000
Tl 0.257 0.611 0.500
Tl 0.269 0.903 0.000
Tl 0.389 0.257 0.500
Tl 0.611 0.743 0.500
Tl 0.731 0.097 0.000
Tl 0.743 0.389 0.500
Tl 0.903 0.731 0.000
Cl 0.143 0.699 0.000
Cl 0.183 0.386 0.500
Cl 0.301 0.143 0.000
Cl 0.386 0.817 0.500
Cl 0.614 0.183 0.500
Cl 0.699 0.857 0.000
Cl 0.817 0.614 0.500
Cl 0.857 0.301 0.000

=====

Record 9
Calculated XRD peak list
Compound: Rb2BeTlBr6
Radiation: Cu Kα X-rays
Structure: a PBE-relaxed structure
Neutral-atom scattering factors, no anomalous dispersion.

The 6 most intense peaks (2θ from 15° to 90°), sorted by position:
2θ (°)  I (rel.)
23.1  52.7
28.4  82.4
32.8  51.3
32.9  100.0
35.9  60.8
47.1  68.4

abc: 7.710 7.710 7.710
angles: 120.18 120.18 89.69
Fractional coordinates of all 10 atoms:
Rb 0.250 0.750 0.500
Rb 0.750 0.250 0.500
Be 0.000 0.000 0.000
Tl 0.500 0.500 0.000
Br 0.227 0.227 0.455
Br 0.227 0.773 0.000
Br 0.229 0.229 0.000
Br 0.771 0.771 0.000
Br 0.773 0.227 0.000
Br 0.773 0.773 0.545

=====

Record 10
Calculated XRD peak list
Compound: Ba2In2O5
Radiation: Cu Kα X-rays
Structure: a PBE-relaxed structure
Neutral-atom scattering factors, no anomalous dispersion.

The 6 most intense peaks (2θ from 15° to 90°), sorted by position:
2θ (°)  I (rel.)
28.6  100.0
30.4  39.0
43.6  22.9
49.5  21.2
52.9  34.6
59.2  11.2

abc: 6.297 6.297 6.297
angles: 124.38 124.38 82.56
Fractional coordinates of all 9 atoms:
Ba 0.000 0.500 0.500
Ba 0.500 0.000 0.500
In 0.222 0.222 0.000
In 0.778 0.778 0.000
O 0.000 0.000 0.000
O 0.098 0.098 0.555
O 0.457 0.902 0.000
O 0.543 0.543 0.445
O 0.902 0.457 0.000

=====

Record 11
Calculated XRD peak list
Compound: TbPm7Tl5
Radiation: Cu Kα X-rays
Structure: a PBE-relaxed structure
Neutral-atom scattering factors, no anomalous dispersion.

The 6 most intense peaks (2θ from 15° to 90°), sorted by position:
2θ (°)  I (rel.)
31.0  35.6
31.2  48.6
32.1  58.1
32.4  48.7
35.2  100.0
36.9  40.4

abc: 8.473 8.473 8.473
angles: 133.03 100.44 97.84
Fractional coordinates of all 13 atoms:
Tb 0.000 0.000 0.000
Pm 0.131 0.443 0.688
Pm 0.184 0.684 0.500
Pm 0.294 0.959 0.335
Pm 0.330 0.330 0.000
Pm 0.624 0.959 0.665
Pm 0.662 0.662 0.000
Pm 0.755 0.443 0.312
Tl 0.438 0.443 0.483
Tl 0.438 0.955 0.995
Tl 0.714 0.214 0.500
Tl 0.960 0.443 0.005
Tl 0.960 0.955 0.517

=====

Record 12
Calculated XRD peak list
Compound: Li5Pd4Au
Radiation: Cu Kα X-rays
Structure: a PBE-relaxed structure
Neutral-atom scattering factors, no anomalous dispersion.

The 6 most intense peaks (2θ from 15° to 90°), sorted by position:
2θ (°)  I (rel.)
29.5  100.0
30.0  51.0
42.2  44.3
42.6  87.5
52.6  39.7
77.3  29.1

abc: 3.032 3.032 14.880
angles: 90.00 90.00 90.00
Fractional coordinates of all 10 atoms:
Li 0.000 0.000 0.000
Li 0.000 0.000 0.197
Li 0.000 0.000 0.394
Li 0.000 0.000 0.606
Li 0.000 0.000 0.803
Pd 0.500 0.500 0.099
Pd 0.500 0.500 0.296
Pd 0.500 0.500 0.704
Pd 0.500 0.500 0.901
Au 0.500 0.500 0.500

=====

Record 13
Calculated XRD peak list
Compound: LuZnCuAs2
Radiation: Cu Kα X-rays
Structure: a PBE-relaxed structure
Neutral-atom scattering factors, no anomalous dispersion.

The 6 most intense peaks (2θ from 15° to 90°), sorted by position:
2θ (°)  I (rel.)
28.5  100.0
37.0  82.1
44.3  66.6
48.3  29.0
59.1  20.8
76.7  19.2

abc: 4.090 4.090 6.668
angles: 90.00 90.00 120.00
Fractional coordinates of all 5 atoms:
Lu 0.000 0.000 0.000
Zn 0.667 0.333 0.396
Cu 0.333 0.667 0.657
As 0.333 0.667 0.261
As 0.667 0.333 0.771